This entry pairs a crystal structure of Hg2Br2O7 with its calculated X-ray diffraction stick pattern. Radiation: Cu Kα (λ = 1.5418 Å). Structure: a crystal structure in Alexandria, relaxed with GGA-PBE.
Peak positions follow from Bragg's law for the DFT cell and can differ from measured ones.

Principal peaks in the range 10° ≤ 2θ ≤ 90°, sorted by position:
(0 0 1), 4.275 Å, 20.78°, intensity 31; (0 2 1), 3.387 Å, 26.31°, intensity 100; (1 3 0), 3.287 Å, 27.13°, intensity 32; (2 0 -1), 3.172 Å, 28.14°, intensity 74; (2 2 0), 3.005 Å, 29.73°, intensity 69; (0 4 0), 2.776 Å, 32.25°, intensity 22; (2 0 -2), 2.086 Å, 43.37°, intensity 30; (1 5 1), 1.845 Å, 49.40°, intensity 22

Atomic structure:
```
data_Hg2Br2O7
_space_group_name_H-M_alt 'C 1 2/m 1'
_space_group_IT_number 12
_space_group_name_Hall '-C 2y'
_cell_length_a 7.3923
_cell_length_b 11.1035
_cell_length_c 4.4222
_cell_angle_alpha 90.00
_cell_angle_beta 104.80
_cell_angle_gamma 90.00
loop_
_atom_site_label
_atom_site_fract_x
_atom_site_fract_y
_atom_site_fract_z
_atom_site_occupancy
Hg1 0.0000 0.2129 0.0000 1
Br1 0.2260 0.5000 0.3423 1
O1 0.0000 0.5000 0.5000 1
O2 0.1243 0.0000 0.3035 1
O3 0.2290 0.1610 0.7725 1
```